The following is a computed powder diffraction line list of LiScGaCu. It was derived from a PBE-relaxed structure, using copper Kα.

Cell and atoms:
Lattice parameters (Å, degrees): 4.373 4.373 6.182 90.00 90.00 90.00
Space group P-4m2 (No. 115)
Asymmetric unit:
Li 0.000 0.500 0.249
Sc 0.000 0.000 0.500
Sc 0.500 0.500 0.000
Ga 0.000 0.000 0.000
Ga 0.500 0.500 0.500
Cu 0.000 0.500 0.750

Principal peaks in the range 10 to 90 degrees two-theta, in order of rising 2θ:
index	d (Å)	intensity
1 0 1	3.570	34
1 1 0	3.092	7
2 0 0	2.186	100
2 1 1	1.864	16
2 2 0	1.546	16
3 0 1	1.419	6
3 1 2	1.262	30
4 0 0	1.093	10

***

The following is a computed powder diffraction line list of Re2SnB2. It was derived from a PBE-relaxed structure, using copper Kα.

Cell and atoms:
Lattice parameters (Å, degrees): 4.614 12.495 12.807 90.00 90.00 90.00
Space group Fddd (No. 70, origin choice 2)
Asymmetric unit:
Re 0.125 0.340 0.125
Sn 0.125 0.125 0.125
B 0.000 0.000 0.000

Principal peaks in the range 10 to 90 degrees two-theta, in order of rising 2θ:
index	d (Å)	intensity
0 2 2	4.472	68
1 1 1	4.100	58
0 0 4	3.202	74
0 4 0	3.124	36
0 4 4	2.236	35
2 0 2	2.168	100
1 5 3	1.954	36
2 4 2	1.782	32